This entry pairs a crystal structure of Pm2Pr3Dy with its computed X-ray powder pattern. Radiation: CuKα. Structure: a crystal structure in Alexandria, relaxed with GGA-PBE.

The 10 most intense peaks (2θ = 10–90°), by intensity:
2theta	I_rel
29.17	100
31.45	89
31.66	81
57.64	32
48.72	19
53.03	17
31.97	17
48.54	16
29.35	15
53.44	13

Structure:
Cell: 8.5970 3.7510 13.0869 Å, 90.00 90.02 90.00°
Fractional coordinates of all 12 atoms:
Pm1 0.0843 0.2500 0.3909
Pm2 0.3501 0.7500 0.9466
Pm3 0.6499 0.2500 0.0534
Pm4 0.9157 0.7500 0.6091
Pr1 0.0872 0.2500 0.1098
Pr2 0.3468 0.7500 0.5558
Pr3 0.3960 0.7500 0.2488
Pr4 0.6040 0.2500 0.7512
Pr5 0.6532 0.2500 0.4442
Pr6 0.9128 0.7500 0.8902
Dy1 0.1897 0.2500 0.7515
Dy2 0.8103 0.7500 0.2485

This entry pairs a crystal structure of PmPrDy4S8 with its computed X-ray powder pattern. Radiation: CuKα. Structure: a crystal structure in Alexandria, relaxed with GGA-PBE.

The 10 most intense peaks (2θ = 10–90°), by intensity:
2theta	I_rel
25.68	100
40.75	42
44.34	38
44.64	38
25.54	32
31.05	26
21.75	19
21.89	15
40.59	14
52.17	14

Structure:
Cell: 8.1716 8.1716 8.1716 Å, 59.58 59.58 59.58°
Fractional coordinates of all 14 atoms:
Pm1 0.0000 0.0000 0.0000
Pr1 0.3747 0.3747 0.3747
Dy1 0.0002 0.0002 0.5033
Dy2 0.0002 0.5033 0.0002
Dy3 0.5033 0.0002 0.0002
Dy4 0.6265 0.6265 0.6265
S1 0.2329 0.7524 0.7524
S2 0.2382 0.2382 0.2382
S3 0.2443 0.2443 0.7830
S4 0.2443 0.7830 0.2443
S5 0.7524 0.2329 0.7524
S6 0.7524 0.7524 0.2329
S7 0.7585 0.7585 0.7585
S8 0.7830 0.2443 0.2443

This entry pairs a crystal structure of PmPrDy2S4 with its computed X-ray powder pattern. Radiation: CuKα. Structure: a crystal structure in Alexandria, relaxed with GGA-PBE.

The 10 most intense peaks (2θ = 10–90°), by intensity:
2theta	I_rel
31.73	100
27.65	38
45.08	25
45.89	24
26.82	21
27.45	20
44.84	12
57.09	12
46.16	12
66.30	11

Structure:
Cell: 6.8625 3.9329 7.0228 Å, 90.00 108.77 90.00°
Fractional coordinates of all 8 atoms:
Pm1 0.0000 0.0000 0.0000
Pr1 0.5000 0.5000 0.0000
Dy1 0.0000 0.5000 0.5000
Dy2 0.5000 0.0000 0.5000
S1 0.2415 0.0000 0.7329
S2 0.2527 0.5000 0.2651
S3 0.7473 0.5000 0.7349
S4 0.7585 0.0000 0.2671